[1]
Starting from a crystal structure in OQMD, relaxed with GGA-PBE, the powder diffraction line list of SrPrB2Pt8 was computed for λ = 1.5418 Å (Cu Kα).

Cell and atoms:
abc: 5.5534 5.5534 7.6577
angles: 90.00 90.00 120.00
Space group P6/mmm (No. 191)
Inequivalent atoms, fractional coordinates:
Sr (0.0000, 0.0000, 0.0000) x1
Pr (0.0000, 0.0000, 0.5000) x1
B (0.3333, 0.6667, 0.5000) x2
Pt (0.0000, 0.5000, 0.3020) x6
Pt (0.3333, 0.6667, 0.0000) x2

Top 12 peaks for 2θ = 10–90°, low angle first:
- d 4.809, 18.45°, I 498
- d 2.996, 29.83°, I 285
- d 2.610, 34.35°, I 333
- d 2.553, 35.16°, I 441
- d 2.405, 37.40°, I 971
- d 2.294, 39.27°, I 449
- d 2.255, 39.99°, I 359
- d 2.248, 40.11°, I 1000
- d 2.036, 44.49°, I 672
- d 1.480, 62.80°, I 464
- d 1.388, 67.46°, I 398
- d 1.292, 73.28°, I 385

***

[2]
Starting from a crystal structure in OQMD, relaxed with GGA-PBE, the powder diffraction line list of NaTcAgO3 was computed for λ = 1.5418 Å (Cu Kα).

Cell and atoms:
abc: 9.8995 2.9073 10.8978
angles: 90.00 90.00 90.00
Space group Pnma (No. 62)
Inequivalent atoms, fractional coordinates:
Na (0.2337, 0.2500, 0.1474) x4
Tc (0.0863, 0.2500, 0.8840) x4
Ag (0.0713, 0.2500, 0.4161) x4
O (0.0030, 0.2500, 0.2088) x4
O (0.1106, 0.7500, 0.0133) x4
O (0.2482, 0.7500, 0.3145) x4

Top 12 peaks for 2θ = 10–90°, low angle first:
- d 5.449, 16.27°, I 151
- d 4.950, 17.92°, I 466
- d 4.774, 18.59°, I 616
- d 2.823, 31.70°, I 1000
- d 2.724, 32.87°, I 258
- d 2.507, 35.82°, I 479
- d 2.483, 36.18°, I 927
- d 1.949, 46.60°, I 253
- d 1.885, 48.29°, I 235
- d 1.845, 49.40°, I 304
- d 1.567, 58.93°, I 233
- d 1.292, 73.24°, I 168

***

[3]
Starting from a crystal structure in OQMD, relaxed with GGA-PBE, the powder diffraction line list of Ba4Pd4O11 was computed for λ = 1.5418 Å (Cu Kα).

Cell and atoms:
abc: 5.7908 5.8317 8.0950
angles: 90.25 90.17 91.39
Space group P1 (No. 1)
Inequivalent atoms, fractional coordinates:
Ba (0.0000, 0.0000, 0.0000) x1
Ba (0.0178, 0.9889, 0.5115) x1
Ba (0.5147, 0.5187, 0.9963) x1
Ba (0.5357, 0.5047, 0.5080) x1
Pd (0.0127, 0.5097, 0.2540) x1
Pd (0.0211, 0.5001, 0.7556) x1
Pd (0.5142, 0.0090, 0.7577) x1
Pd (0.5217, 0.0020, 0.2545) x1
O (0.0286, 0.4444, 0.0089) x1
O (0.0763, 0.5124, 0.4987) x1
O (0.2476, 0.7751, 0.7880) x1
O (0.2551, 0.7698, 0.2181) x1
O (0.2908, 0.2757, 0.7320) x1
O (0.4743, 0.9754, 0.5018) x1
O (0.5027, 0.0719, 0.0106) x1
O (0.7498, 0.7357, 0.7569) x1
O (0.7613, 0.7471, 0.2472) x1
O (0.7872, 0.2391, 0.2882) x1
O (0.7890, 0.2331, 0.7265) x1

Top 12 peaks for 2θ = 10–90°, low angle first:
- d 2.915, 30.67°, I 334
- d 2.899, 30.85°, I 1000
- d 2.874, 31.12°, I 309
- d 2.859, 31.29°, I 307
- d 2.079, 43.53°, I 189
- d 2.030, 44.65°, I 176
- d 2.024, 44.78°, I 175
- d 1.679, 54.66°, I 128
- d 1.665, 55.18°, I 131
- d 1.661, 55.32°, I 198
- d 1.656, 55.48°, I 127
- d 1.450, 64.23°, I 107

***

[4]
Starting from a crystal structure in OQMD, relaxed with GGA-PBE, the powder diffraction line list of Gd2Ni3B6 was computed for λ = 1.5418 Å (Cu Kα).

Cell and atoms:
abc: 7.7614 8.6969 3.5060
angles: 90.00 90.00 90.00
Space group Cmmm (No. 65)
Inequivalent atoms, fractional coordinates:
Gd (0.0000, 0.2247, 0.0000) x4
Ni (0.0000, 0.5000, 0.5000) x2
Ni (0.2271, 0.5000, 0.0000) x4
B (0.1137, 0.0000, 0.5000) x4
B (0.2359, 0.3503, 0.5000) x8

Top 12 peaks for 2θ = 10–90°, low angle first:
- d 3.881, 22.92°, I 203
- d 3.506, 25.40°, I 355
- d 2.895, 30.88°, I 493
- d 2.729, 32.81°, I 199
- d 2.716, 32.98°, I 158
- d 2.232, 40.40°, I 1000
- d 2.174, 41.53°, I 178
- d 1.940, 46.82°, I 164
- d 1.848, 49.32°, I 119
- d 1.753, 52.18°, I 142
- d 1.698, 54.02°, I 122
- d 1.500, 61.87°, I 136

***

[5]
Starting from a crystal structure in OQMD, relaxed with GGA-PBE, the powder diffraction line list of LuAuSeO was computed for λ = 1.5418 Å (Cu Kα).

Cell and atoms:
abc: 5.6263 5.6186 10.9375
angles: 90.00 92.10 90.00
Space group P2_1 (No. 4)
Inequivalent atoms, fractional coordinates:
Lu (0.0052, 0.0000, 0.0897) x2
Lu (0.4935, 0.0021, 0.9092) x2
Au (0.0031, 0.0234, 0.7307) x2
Au (0.3173, 0.2768, 0.5033) x2
Se (0.3046, 0.2200, 0.2825) x2
Se (0.3115, 0.3281, 0.7247) x2
O (0.2495, 0.2498, 0.0020) x2
O (0.2516, 0.7502, 0.9997) x2

Top 12 peaks for 2θ = 10–90°, low angle first:
- d 4.997, 17.75°, I 184
- d 3.974, 22.37°, I 551
- d 3.767, 23.62°, I 171
- d 3.704, 24.02°, I 236
- d 3.255, 27.40°, I 465
- d 3.175, 28.10°, I 404
- d 2.721, 32.92°, I 1000
- d 2.652, 33.80°, I 614
- d 2.513, 35.72°, I 272
- d 2.279, 39.54°, I 172
- d 2.186, 41.30°, I 296
- d 1.987, 45.65°, I 516

***

[6]
Starting from a crystal structure in OQMD, relaxed with GGA-PBE, the powder diffraction line list of Ta2BAu was computed for λ = 1.5418 Å (Cu Kα).

Cell and atoms:
abc: 3.2064 3.2064 13.9676
angles: 90.00 90.00 120.00
Space group P6_3/mmc (No. 194)
Inequivalent atoms, fractional coordinates:
Ta (0.3333, 0.6667, 0.0899) x4
B (0.0000, 0.0000, 0.0000) x2
Au (0.3333, 0.6667, 0.7500) x2

Top 12 peaks for 2θ = 10–90°, low angle first:
- d 2.777, 32.24°, I 240
- d 2.385, 37.72°, I 1000
- d 2.328, 38.68°, I 196
- d 1.969, 46.09°, I 14
- d 1.784, 51.21°, I 143
- d 1.603, 57.48°, I 206
- d 1.388, 67.46°, I 30
- d 1.355, 69.37°, I 158
- d 1.331, 70.82°, I 161
- d 1.320, 71.44°, I 199
- d 1.192, 80.56°, I 39
- d 1.164, 82.95°, I 21

***

[7]
Starting from a crystal structure in OQMD, relaxed with GGA-PBE, the powder diffraction line list of Tb3Sn3Pb4 was computed for λ = 1.5418 Å (Cu Kα).

Cell and atoms:
abc: 4.5287 26.7881 4.5032
angles: 90.00 90.00 90.00
Space group Cmmm (No. 65)
Inequivalent atoms, fractional coordinates:
Tb (0.0000, 0.0000, 0.0000) x2
Tb (0.0000, 0.3109, 0.5000) x4
Sn (0.0000, 0.4044, 0.0000) x4
Sn (0.0000, 0.5000, 0.5000) x2
Pb (0.0000, 0.0962, 0.5000) x4
Pb (0.0000, 0.2089, 0.0000) x4

Top 12 peaks for 2θ = 10–90°, low angle first:
- d 3.737, 23.81°, I 54
- d 2.743, 32.65°, I 1000
- d 2.679, 33.45°, I 202
- d 2.264, 39.81°, I 154
- d 2.252, 40.04°, I 152
- d 1.729, 52.95°, I 116
- d 1.724, 53.14°, I 111
- d 1.597, 57.74°, I 106
- d 1.559, 59.29°, I 125
- d 1.383, 67.77°, I 127
- d 1.377, 68.09°, I 125
- d 1.371, 68.40°, I 107

***

[8]
Starting from a crystal structure in OQMD, relaxed with GGA-PBE, the powder diffraction line list of Tm2U6Ni was computed for λ = 1.5418 Å (Cu Kα).

Cell and atoms:
abc: 9.4602 9.4602 9.4602
angles: 90.00 90.00 90.00
Space group Fm-3m (No. 225)
Inequivalent atoms, fractional coordinates:
Tm (0.2500, 0.2500, 0.2500) x8
U (0.0000, 0.0000, 0.2154) x24
Ni (0.0000, 0.0000, 0.5000) x4

Top 12 peaks for 2θ = 10–90°, low angle first:
- d 5.462, 16.23°, I 120
- d 4.730, 18.76°, I 63
- d 2.731, 32.79°, I 1000
- d 2.365, 38.05°, I 573
- d 2.170, 41.61°, I 188
- d 1.821, 50.10°, I 228
- d 1.672, 54.90°, I 327
- d 1.426, 65.44°, I 282
- d 1.365, 68.75°, I 89
- d 1.325, 71.18°, I 124
- d 1.232, 77.50°, I 144
- d 1.156, 83.68°, I 117

***

[9]
Starting from a crystal structure in OQMD, relaxed with GGA-PBE, the powder diffraction line list of HgBrCl was computed for λ = 1.5418 Å (Cu Kα).

Cell and atoms:
abc: 6.5574 4.8753 6.8267
angles: 90.00 101.47 90.00
Space group P2_1/m (No. 11)
Inequivalent atoms, fractional coordinates:
Hg (0.0030, 0.2500, 0.2489) x2
Br (0.2536, 0.2500, 0.5724) x2
Cl (0.2281, 0.7500, 0.0641) x2

Top 12 peaks for 2θ = 10–90°, low angle first:
- d 6.426, 13.78°, I 845
- d 3.940, 22.57°, I 295
- d 3.549, 25.09°, I 1000
- d 2.752, 32.54°, I 238
- d 2.647, 33.87°, I 322
- d 2.589, 34.65°, I 169
- d 2.438, 36.87°, I 198
- d 2.359, 38.16°, I 213
- d 2.279, 39.54°, I 135
- d 2.028, 44.68°, I 223
- d 1.825, 49.99°, I 136
- d 1.796, 50.85°, I 145

***

[10]
Starting from a crystal structure in OQMD, relaxed with GGA-PBE, the powder diffraction line list of CoW12 was computed for λ = 1.5418 Å (Cu Kα).

Cell and atoms:
abc: 5.1340 5.1340 27.6352
angles: 90.00 90.00 120.00
Space group R-3m (No. 166, hexagonal axes)
Inequivalent atoms, fractional coordinates:
Co (0.0000, 0.0000, 0.0000) x3
W (0.0000, 0.0000, 0.1665) x6
W (0.0000, 0.0000, 0.3507) x6
W (0.0000, 0.0000, 0.4546) x6
W (0.0018, 0.5009, 0.4085) x18

Top 12 peaks for 2θ = 10–90°, low angle first:
- d 2.567, 34.95°, I 448
- d 2.347, 38.35°, I 740
- d 2.242, 40.22°, I 1000
- d 2.216, 40.72°, I 723
- d 2.187, 41.28°, I 651
- d 2.116, 42.73°, I 409
- d 2.062, 43.90°, I 598
- d 1.436, 64.95°, I 317
- d 1.411, 66.25°, I 231
- d 1.397, 67.00°, I 313
- d 1.364, 68.84°, I 238
- d 1.283, 73.83°, I 420